(1)
The following is a computed X-ray powder pattern of Nd2B5. It was derived from a crystal structure in Alexandria, relaxed with GGA-PBE, using Cu Kα (weighted mean of Kα1 and Kα2).

Cell and atoms:
```
data_Nd2B5
_chemical_formula_sum 'Nd16 B40'
_cell_length_a 15.1780
_cell_length_b 7.2859
_cell_length_c 7.3268
_cell_angle_alpha 90.00
_cell_angle_beta 109.09
_cell_angle_gamma 90.00
_space_group_name_H-M_alt 'C 1 2/c 1'
_space_group_IT_number 15
loop_
_space_group_symop_operation_xyz
'x,y,z'
'-x,-y,-z'
'-x,y,-z+1/2'
'x,-y,z+1/2'
'x+1/2,y+1/2,z'
'-x+1/2,-y+1/2,-z'
'-x+1/2,y+1/2,-z+1/2'
'x+1/2,-y+1/2,z+1/2'
loop_
_atom_site_label
_atom_site_type_symbol
_atom_site_fract_x
_atom_site_fract_y
_atom_site_fract_z
Nd1 Nd 0.1188 0.0612 0.2218
Nd2 Nd 0.1193 0.4300 0.6008
B1 B 0.0425 0.2456 0.8522
B2 B 0.1598 0.2496 0.9395
B3 B 0.2488 0.2889 0.1708
B4 B 0.2493 0.3411 0.4083
B5 B 0.2502 0.0780 0.0397
```

Main lines, by angle (2θ = 10–90°):
Position (°2θ), I_rel, hkl
24.43, 44.8, 0 2 0
24.63, 37.7, 2 0 -2
24.83, 100.0, 4 0 0
27.34, 66.0, 1 1 -2
27.67, 56.7, 0 2 1
34.46, 43.4, 4 2 -1
35.12, 47.7, 4 2 0
35.68, 40.6, 5 1 -2

---

(2)
The following is a computed X-ray powder pattern of Rb4MgPb4. It was derived from a crystal structure in Alexandria, relaxed with GGA-PBE, using Cu Kα (weighted mean of Kα1 and Kα2).

Cell and atoms:
```
data_Rb4MgPb4
_chemical_formula_sum 'Rb8 Mg2 Pb8'
_cell_length_a 7.3916
_cell_length_b 7.3916
_cell_length_c 17.0663
_cell_angle_alpha 90.00
_cell_angle_beta 90.00
_cell_angle_gamma 90.00
_space_group_name_H-M_alt 'I -4 2 m'
_space_group_IT_number 121
_space_group_name_Hall 'I -4 2'
loop_
_atom_site_label
_atom_site_type_symbol
_atom_site_fract_x
_atom_site_fract_y
_atom_site_fract_z
Rb1 Rb 0.1761 0.1761 0.3694
Mg1 Mg 0.0000 0.0000 0.0000
Pb1 Pb 0.1452 0.1452 0.1505
```

Main lines, by angle (2θ = 10–90°):
Position (°2θ), I_rel, hkl
13.05, 25.5, 1 0 1
16.96, 26.5, 1 1 0
19.69, 24.5, 1 0 3
20.82, 48.7, 0 0 4
27.48, 100.0, 2 1 1
31.30, 18.8, 2 1 3
37.89, 62.7, 2 1 5
44.18, 19.2, 3 1 4

---

(3)
The following is a computed X-ray powder pattern of U3O11. It was derived from a crystal structure in Alexandria, relaxed with GGA-PBE, using Cu Kα (weighted mean of Kα1 and Kα2).

Cell and atoms:
```
data_U3O11
_chemical_formula_sum 'U12 O44'
_cell_length_a 7.4470
_cell_length_b 11.3159
_cell_length_c 13.3476
_cell_angle_alpha 90.00
_cell_angle_beta 90.00
_cell_angle_gamma 90.00
_space_group_name_H-M_alt 'I m m m'
_space_group_IT_number 71
_space_group_name_Hall '-I 2 2'
loop_
_atom_site_label
_atom_site_type_symbol
_atom_site_fract_x
_atom_site_fract_y
_atom_site_fract_z
U1 U 0.0000 0.0000 0.2261
U2 U 0.0000 0.3203 0.2643
O1 O 0.0000 0.0000 0.0475
O2 O 0.0000 0.0000 0.4542
O3 O 0.0000 0.2694 0.3926
O4 O 0.0000 0.3482 0.1312
O5 O 0.0000 0.5000 0.3043
O6 O 0.1737 0.1313 0.2328
```

Main lines, by angle (2θ = 10–90°):
Position (°2θ), I_rel, hkl
13.27, 100.0, 0 0 2
23.90, 30.2, 2 0 0
26.49, 40.0, 1 3 0
26.72, 15.4, 0 0 4
27.43, 26.7, 2 0 2
29.73, 40.8, 1 3 2
37.98, 19.0, 1 3 4
45.82, 16.5, 3 3 2

---

(4)
The following is a computed X-ray powder pattern of Pr2InSn9. It was derived from a crystal structure in Alexandria, relaxed with GGA-PBE, using Cu Kα (weighted mean of Kα1 and Kα2).

Cell and atoms:
```
data_Pr2InSn9
_chemical_formula_sum 'Pr2 In1 Sn9'
_cell_length_a 4.7420
_cell_length_b 4.7420
_cell_length_c 14.7196
_cell_angle_alpha 90.00
_cell_angle_beta 90.00
_cell_angle_gamma 90.00
_space_group_name_H-M_alt 'P 4/m m m'
_space_group_IT_number 123
_space_group_name_Hall '-P 4 2'
loop_
_atom_site_label
_atom_site_type_symbol
_atom_site_fract_x
_atom_site_fract_y
_atom_site_fract_z
Pr1 Pr 0.0000 0.0000 0.1596
In1 In 0.0000 0.0000 0.5000
Sn1 Sn 0.0000 0.5000 0.0000
Sn2 Sn 0.0000 0.5000 0.3356
Sn3 Sn 0.5000 0.5000 0.1697
Sn4 Sn 0.5000 0.5000 0.5000
```

Main lines, by angle (2θ = 10–90°):
Position (°2θ), I_rel, hkl
32.34, 100.0, 1 1 3
36.63, 17.7, 0 0 6
37.95, 32.8, 2 0 0
53.77, 23.9, 2 0 6
63.26, 14.5, 1 1 9
65.04, 27.7, 3 1 3
67.69, 12.2, 2 2 6
88.45, 12.6, 3 1 9

---

(5)
The following is a computed X-ray powder pattern of BaSr3Te4. It was derived from a crystal structure in Alexandria, relaxed with GGA-PBE, using Cu Kα (weighted mean of Kα1 and Kα2).

Cell and atoms:
```
data_BaSr3Te4
_chemical_formula_sum 'Ba1 Sr3 Te4'
_cell_length_a 6.8241
_cell_length_b 6.8241
_cell_length_c 6.8241
_cell_angle_alpha 90.00
_cell_angle_beta 90.00
_cell_angle_gamma 90.00
_space_group_name_H-M_alt 'P m -3 m'
_space_group_IT_number 221
_space_group_name_Hall '-P 4 2 3'
loop_
_atom_site_label
_atom_site_type_symbol
_atom_site_fract_x
_atom_site_fract_y
_atom_site_fract_z
Ba1 Ba 0.0000 0.0000 0.0000
Sr1 Sr 0.0000 0.5000 0.5000
Te1 Te 0.0000 0.0000 0.5000
Te2 Te 0.5000 0.5000 0.5000
```

Main lines, by angle (2θ = 10–90°):
Position (°2θ), I_rel, hkl
26.12, 100.0, 2 0 0
37.27, 77.8, 2 2 0
46.08, 28.2, 2 2 2
53.73, 13.4, 4 0 0
60.69, 37.0, 4 2 0
67.21, 27.2, 4 2 2
79.44, 8.5, 4 4 0
85.35, 18.0, 6 0 0

---

(6)
The following is a computed X-ray powder pattern of In2SnHgPb2. It was derived from a crystal structure in Alexandria, relaxed with GGA-PBE, using Cu Kα (weighted mean of Kα1 and Kα2).

Cell and atoms:
```
data_In2SnHgPb2
_chemical_formula_sum 'In4 Sn2 Hg2 Pb4'
_cell_length_a 5.1297
_cell_length_b 9.7754
_cell_length_c 6.8601
_cell_angle_alpha 90.00
_cell_angle_beta 90.00
_cell_angle_gamma 90.00
_space_group_name_H-M_alt 'P m c 21'
_space_group_IT_number 26
loop_
_space_group_symop_operation_xyz
'x,y,z'
'-x,-y,z+1/2'
'-x,y,z'
'x,-y,z+1/2'
loop_
_atom_site_label
_atom_site_type_symbol
_atom_site_fract_x
_atom_site_fract_y
_atom_site_fract_z
In1 In 0.0000 0.1373 0.0000
In2 In 0.5000 0.3267 0.7312
Sn1 Sn 0.0000 0.1840 0.5077
Hg1 Hg 0.5000 0.0126 0.7502
Pb1 Pb 0.0000 0.4781 0.9614
Pb2 Pb 0.5000 0.3133 0.2348
```

Main lines, by angle (2θ = 10–90°):
Position (°2θ), I_rel, hkl
31.37, 100.0, 1 0 2
32.55, 82.8, 1 3 0
34.98, 39.1, 2 0 0
38.09, 52.4, 0 3 2
52.67, 41.4, 2 3 2
60.50, 15.6, 3 0 2
61.21, 19.0, 3 3 0
63.97, 20.5, 1 3 4

---

(7)
The following is a computed X-ray powder pattern of Li5Mo. It was derived from a crystal structure in Alexandria, relaxed with GGA-PBE, using Cu Kα (weighted mean of Kα1 and Kα2).

Cell and atoms:
```
data_Li5Mo
_chemical_formula_sum 'Li10 Mo2'
_cell_length_a 4.8608
_cell_length_b 2.4990
_cell_length_c 16.2828
_cell_angle_alpha 90.00
_cell_angle_beta 90.00
_cell_angle_gamma 90.00
_space_group_name_H-M_alt 'A m m 2'
_space_group_IT_number 38
loop_
_space_group_symop_operation_xyz
'x,y,z'
'-x,-y,z'
'-x,y,z'
'x,-y,z'
'x,y+1/2,z+1/2'
'-x,-y+1/2,z+1/2'
'-x,y+1/2,z+1/2'
'x,-y+1/2,z+1/2'
loop_
_atom_site_label
_atom_site_type_symbol
_atom_site_fract_x
_atom_site_fract_y
_atom_site_fract_z
Li1 Li 0.0000 0.0000 0.0000
Li2 Li 0.0000 0.0000 0.3200
Li3 Li 0.5000 0.0000 0.0925
Li4 Li 0.5000 0.0000 0.4212
Li5 Li 0.5000 0.0000 0.7471
Mo1 Mo 0.0000 0.0000 0.6582
```

Main lines, by angle (2θ = 10–90°):
Position (°2θ), I_rel, hkl
10.87, 100.0, 0 0 2
18.25, 30.7, 1 0 0
21.29, 42.8, 1 0 2
21.83, 20.0, 0 0 4
28.60, 19.3, 1 0 4
37.97, 16.1, 1 0 6
40.99, 14.9, 1 1 1
44.03, 17.9, 1 1 3

---

(8)
The following is a computed X-ray powder pattern of ScTcNi. It was derived from a crystal structure in Alexandria, relaxed with GGA-PBE, using Cu Kα (weighted mean of Kα1 and Kα2).

Cell and atoms:
```
data_ScTcNi
_chemical_formula_sum 'Sc4 Tc4 Ni4'
_cell_length_a 4.8896
_cell_length_b 5.0330
_cell_length_c 7.5794
_cell_angle_alpha 90.00
_cell_angle_beta 90.00
_cell_angle_gamma 90.00
_space_group_name_H-M_alt 'I m m a'
_space_group_IT_number 74
_space_group_name_Hall '-I 2b 2'
loop_
_atom_site_label
_atom_site_type_symbol
_atom_site_fract_x
_atom_site_fract_y
_atom_site_fract_z
Sc1 Sc 0.0000 0.2500 0.1219
Tc1 Tc 0.2500 0.2500 0.7500
Ni1 Ni 0.0000 0.0000 0.5000
```

Main lines, by angle (2θ = 10–90°):
Position (°2θ), I_rel, hkl
21.19, 90.0, 0 1 1
39.93, 63.7, 0 1 3
40.18, 31.3, 1 0 3
42.11, 57.2, 1 2 1
42.82, 100.0, 2 1 1
43.15, 76.5, 0 2 2
44.08, 74.8, 2 0 2
73.60, 46.7, 2 2 4

---

(9)
The following is a computed X-ray powder pattern of Pr9Y2Tl. It was derived from a crystal structure in Alexandria, relaxed with GGA-PBE, using Cu Kα (weighted mean of Kα1 and Kα2).

Cell and atoms:
```
data_Pr9Y2Tl
_chemical_formula_sum 'Pr9 Y2 Tl1'
_cell_length_a 5.1164
_cell_length_b 5.1164
_cell_length_c 15.6680
_cell_angle_alpha 90.00
_cell_angle_beta 90.00
_cell_angle_gamma 90.00
_space_group_name_H-M_alt 'P 4/m m m'
_space_group_IT_number 123
_space_group_name_Hall '-P 4 2'
loop_
_atom_site_label
_atom_site_type_symbol
_atom_site_fract_x
_atom_site_fract_y
_atom_site_fract_z
Pr1 Pr 0.0000 0.0000 0.0000
Pr2 Pr 0.0000 0.0000 0.3308
Pr3 Pr 0.0000 0.5000 0.1618
Pr4 Pr 0.0000 0.5000 0.5000
Y1 Y 0.5000 0.5000 0.3320
Tl1 Tl 0.5000 0.5000 0.0000
```

Main lines, by angle (2θ = 10–90°):
Position (°2θ), I_rel, hkl
30.05, 100.0, 1 1 3
34.34, 17.4, 0 0 6
35.08, 33.2, 2 0 0
49.90, 24.3, 2 0 6
50.45, 11.8, 2 2 0
58.87, 14.4, 1 1 9
59.84, 28.2, 3 1 3
62.45, 12.4, 2 2 6

---

(10)
The following is a computed X-ray powder pattern of Li2La2NiGe4. It was derived from a crystal structure in Alexandria, relaxed with GGA-PBE, using Cu Kα (weighted mean of Kα1 and Kα2).

Cell and atoms:
```
data_Li2La2NiGe4
_chemical_formula_sum 'Li4 La4 Ni2 Ge8'
_cell_length_a 6.2390
_cell_length_b 6.2390
_cell_length_c 9.0773
_cell_angle_alpha 90.00
_cell_angle_beta 90.00
_cell_angle_gamma 90.00
_space_group_name_H-M_alt 'I 4/m m m'
_space_group_IT_number 139
_space_group_name_Hall '-I 4 2'
loop_
_atom_site_label
_atom_site_type_symbol
_atom_site_fract_x
_atom_site_fract_y
_atom_site_fract_z
Li1 Li 0.0000 0.0000 0.2115
La1 La 0.0000 0.5000 0.2500
Ni1 Ni 0.0000 0.0000 0.5000
Ge1 Ge 0.2232 0.2232 0.0000
```

Main lines, by angle (2θ = 10–90°):
Position (°2θ), I_rel, hkl
20.13, 28.1, 1 1 0
28.21, 79.8, 1 1 2
34.90, 100.0, 2 0 2
39.72, 28.9, 0 0 4
40.91, 48.6, 2 2 0
50.44, 25.6, 3 1 2
58.34, 33.1, 2 2 4
70.64, 19.5, 4 2 2

---

(11)
The following is a computed X-ray powder pattern of Zn2AgHg. It was derived from a crystal structure in Alexandria, relaxed with GGA-PBE, using Cu Kα (weighted mean of Kα1 and Kα2).

Cell and atoms:
```
data_Zn2AgHg
_chemical_formula_sum 'Zn2 Ag1 Hg1'
_cell_length_a 3.5080
_cell_length_b 3.5080
_cell_length_c 5.8611
_cell_angle_alpha 90.00
_cell_angle_beta 90.00
_cell_angle_gamma 90.00
_space_group_name_H-M_alt 'P 4 m m'
_space_group_IT_number 99
loop_
_space_group_symop_operation_xyz
'x,y,z'
'-y,x,z'
'-x,-y,z'
'y,-x,z'
'-x,y,z'
'y,x,z'
'x,-y,z'
'-y,-x,z'
loop_
_atom_site_label
_atom_site_type_symbol
_atom_site_fract_x
_atom_site_fract_y
_atom_site_fract_z
Zn1 Zn 0.0000 0.0000 0.0000
Zn2 Zn 0.5000 0.5000 0.2326
Ag1 Ag 0.0000 0.0000 0.4571
Hg1 Hg 0.5000 0.5000 0.7501
```

Main lines, by angle (2θ = 10–90°):
Position (°2θ), I_rel, hkl
15.12, 13.7, 0 0 1
29.68, 30.8, 1 0 1
36.21, 69.9, 1 1 0
40.09, 100.0, 1 0 2
52.15, 24.2, 2 0 0
67.75, 41.1, 2 1 2
75.33, 12.9, 1 1 4
88.05, 11.0, 3 1 0

---

(12)
The following is a computed X-ray powder pattern of Cs2Tb3Br10. It was derived from a crystal structure in Alexandria, relaxed with GGA-PBE, using Cu Kα (weighted mean of Kα1 and Kα2).

Cell and atoms:
```
data_Cs2Tb3Br10
_chemical_formula_sum 'Cs8 Tb12 Br40'
_cell_length_a 26.3013
_cell_length_b 8.0663
_cell_length_c 11.5123
_cell_angle_alpha 90.00
_cell_angle_beta 111.05
_cell_angle_gamma 90.00
_space_group_name_H-M_alt 'C 1 2/m 1'
_space_group_IT_number 12
loop_
_space_group_symop_operation_xyz
'x,y,z'
'-x,-y,-z'
'-x,y,-z'
'x,-y,z'
'x+1/2,y+1/2,z'
'-x+1/2,-y+1/2,-z'
'-x+1/2,y+1/2,-z'
'x+1/2,-y+1/2,z'
loop_
_atom_site_label
_atom_site_type_symbol
_atom_site_fract_x
_atom_site_fract_y
_atom_site_fract_z
Cs1 Cs 0.1213 0.0000 0.2352
Cs2 Cs 0.2241 0.0000 0.8211
Tb1 Tb 0.0000 0.2766 0.5000
Tb2 Tb 0.0800 0.5000 0.9820
Tb3 Tb 0.1748 0.5000 0.5249
Br1 Br 0.0000 0.2643 0.0000
Br2 Br 0.0171 0.0000 0.6751
Br3 Br 0.0270 0.5000 0.7156
Br4 Br 0.1130 0.2223 0.5332
Br5 Br 0.1268 0.5000 0.2536
Br6 Br 0.1489 0.2487 0.9852
Br7 Br 0.2289 0.5000 0.7735
Br8 Br 0.2500 0.2500 0.5000
```

Main lines, by angle (2θ = 10–90°):
Position (°2θ), I_rel, hkl
16.50, 33.6, 0 0 2
19.08, 26.9, 1 1 -2
20.26, 57.1, 6 0 -1
27.66, 65.4, 0 2 2
28.36, 30.5, 2 0 3
30.11, 100.0, 6 2 -1
33.36, 38.3, 0 0 4
44.95, 75.5, 0 4 0